Record 1
This entry pairs a crystal structure of As2PtRh2 with its theoretical X-ray diffraction stick pattern. Radiation: Cu Kα, 1.54184 Å. Structure: a GGA-PBE-relaxed structure.

Peak list (12 most intense, 10 to 90 degrees two-theta, low angle first)
2θ = 34.78°, d = 2.579 Å, intensity 47; 2θ = 35.35°, d = 2.539 Å, intensity 21; 2θ = 39.17°, d = 2.300 Å, intensity 21; 2θ = 39.69°, d = 2.271 Å, intensity 100; 2θ = 41.22°, d = 2.190 Å, intensity 90; 2θ = 46.92°, d = 1.937 Å, intensity 17; 2θ = 50.43°, d = 1.809 Å, intensity 16; 2θ = 57.38°, d = 1.606 Å, intensity 16; 2θ = 60.09°, d = 1.540 Å, intensity 14; 2θ = 61.98°, d = 1.497 Å, intensity 13; 2θ = 76.16°, d = 1.250 Å, intensity 29; 2θ = 78.52°, d = 1.218 Å, intensity 20

Structure:
abc: 7.1816 7.1816 2.9945
angles: 90.00 90.00 90.00
Atoms (fractional coordinates):
As (0.1543, 0.3457, 0.0000)
As (0.3457, 0.8457, 0.0000)
As (0.6543, 0.1543, 0.0000)
As (0.8457, 0.6543, 0.0000)
Pt (0.0000, 0.0000, 0.0000)
Pt (0.5000, 0.5000, 0.0000)
Rh (0.1412, 0.6412, 0.5000)
Rh (0.3588, 0.1412, 0.5000)
Rh (0.6412, 0.8588, 0.5000)
Rh (0.8588, 0.3588, 0.5000)

Record 2
This entry pairs a crystal structure of AgPt3Rh with its theoretical X-ray diffraction stick pattern. Radiation: Cu Kα, 1.54184 Å. Structure: a GGA-PBE-relaxed structure.

Peak list (12 most intense, 10 to 90 degrees two-theta, low angle first)
2θ = 33.14°, d = 2.703 Å, intensity 22; 2θ = 38.21°, d = 2.355 Å, intensity 60; 2θ = 39.44°, d = 2.285 Å, intensity 100; 2θ = 39.91°, d = 2.259 Å, intensity 82; 2θ = 40.43°, d = 2.231 Å, intensity 92; 2θ = 41.90°, d = 2.156 Å, intensity 70; 2θ = 42.50°, d = 2.127 Å, intensity 79; 2θ = 52.72°, d = 1.736 Å, intensity 19; 2θ = 67.77°, d = 1.383 Å, intensity 20; 2θ = 70.75°, d = 1.332 Å, intensity 18; 2θ = 76.99°, d = 1.238 Å, intensity 24; 2θ = 82.95°, d = 1.164 Å, intensity 19

Structure:
abc: 2.7656 7.0468 8.9979
angles: 68.37 89.91 78.74
Atoms (fractional coordinates):
Ag (0.1693, 0.1605, 0.0358)
Ag (0.8307, 0.8395, 0.9642)
Pt (0.2718, 0.9522, 0.6474)
Pt (0.3795, 0.7432, 0.2853)
Pt (0.4732, 0.5507, 0.8450)
Pt (0.5268, 0.4493, 0.1550)
Pt (0.6205, 0.2568, 0.7147)
Pt (0.7282, 0.0478, 0.3526)
Rh (0.0735, 0.3552, 0.4289)
Rh (0.9265, 0.6448, 0.5711)

Record 3
This entry pairs a crystal structure of Tb2Pm7Sc2 with its theoretical X-ray diffraction stick pattern. Radiation: Cu Kα, 1.54184 Å. Structure: a GGA-PBE-relaxed structure.

Peak list (12 most intense, 10 to 90 degrees two-theta, low angle first)
2θ = 26.57°, d = 3.354 Å, intensity 26; 2θ = 27.75°, d = 3.215 Å, intensity 16; 2θ = 27.99°, d = 3.187 Å, intensity 36; 2θ = 29.79°, d = 2.999 Å, intensity 18; 2θ = 30.60°, d = 2.921 Å, intensity 24; 2θ = 30.97°, d = 2.887 Å, intensity 39; 2θ = 33.19°, d = 2.699 Å, intensity 100; 2θ = 34.61°, d = 2.592 Å, intensity 23; 2θ = 35.74°, d = 2.512 Å, intensity 15; 2θ = 44.10°, d = 2.053 Å, intensity 14; 2θ = 49.39°, d = 1.845 Å, intensity 17; 2θ = 60.66°, d = 1.527 Å, intensity 15

Structure:
abc: 10.6470 10.6470 10.6470
angles: 160.63 69.20 114.31
Atoms (fractional coordinates):
Tb (0.0000, 0.0000, 0.0000)
Tb (0.7429, 0.2429, 0.5000)
Pm (0.2344, 0.5440, 0.6904)
Pm (0.3050, 0.3050, 0.0000)
Pm (0.3937, 0.0159, 0.3778)
Pm (0.6272, 0.7872, 0.8400)
Pm (0.6381, 0.0159, 0.6222)
Pm (0.8536, 0.5440, 0.3096)
Pm (0.9472, 0.7872, 0.1600)
Sc (0.1099, 0.2929, 0.8170)
Sc (0.4759, 0.2929, 0.1830)

Record 4
This entry pairs a crystal structure of AcCe5Pb3 with its theoretical X-ray diffraction stick pattern. Radiation: Cu Kα, 1.54184 Å. Structure: a GGA-PBE-relaxed structure.

Peak list (12 most intense, 10 to 90 degrees two-theta, low angle first)
2θ = 26.07°, d = 3.418 Å, intensity 7; 2θ = 31.81°, d = 2.813 Å, intensity 100; 2θ = 31.98°, d = 2.798 Å, intensity 87; 2θ = 41.57°, d = 2.172 Å, intensity 12; 2θ = 45.73°, d = 1.984 Å, intensity 33; 2θ = 53.62°, d = 1.709 Å, intensity 8; 2θ = 56.67°, d = 1.624 Å, intensity 20; 2θ = 56.78°, d = 1.621 Å, intensity 34; 2θ = 63.71°, d = 1.461 Å, intensity 28; 2θ = 66.47°, d = 1.407 Å, intensity 12; 2θ = 75.67°, d = 1.257 Å, intensity 15; 2θ = 81.80°, d = 1.177 Å, intensity 14

Structure:
abc: 9.7456 9.7456 6.8369
angles: 90.00 90.00 120.00
Atoms (fractional coordinates):
Ac (0.0000, 0.0000, 0.0000)
Ac (0.0000, 0.0000, 0.5000)
Ce (0.0000, 0.3382, 0.2500)
Ce (0.0000, 0.6618, 0.7500)
Ce (0.3333, 0.6667, 0.0000)
Ce (0.3333, 0.6667, 0.5000)
Ce (0.3382, 0.0000, 0.2500)
Ce (0.3382, 0.3382, 0.7500)
Ce (0.6618, 0.0000, 0.7500)
Ce (0.6618, 0.6618, 0.2500)
Ce (0.6667, 0.3333, 0.0000)
Ce (0.6667, 0.3333, 0.5000)
Pb (0.0000, 0.3350, 0.7500)
Pb (0.0000, 0.6650, 0.2500)
Pb (0.3350, 0.0000, 0.7500)
Pb (0.3350, 0.3350, 0.2500)
Pb (0.6650, 0.0000, 0.2500)
Pb (0.6650, 0.6650, 0.7500)

Record 5
This entry pairs a crystal structure of Zr5Ni2 with its theoretical X-ray diffraction stick pattern. Radiation: Cu Kα, 1.54184 Å. Structure: a GGA-PBE-relaxed structure.

Peak list (12 most intense, 10 to 90 degrees two-theta, low angle first)
2θ = 32.89°, d = 2.723 Å, intensity 97; 2θ = 33.54°, d = 2.672 Å, intensity 48; 2θ = 34.20°, d = 2.622 Å, intensity 100; 2θ = 34.82°, d = 2.577 Å, intensity 82; 2θ = 35.13°, d = 2.555 Å, intensity 77; 2θ = 35.69°, d = 2.516 Å, intensity 85; 2θ = 36.64°, d = 2.453 Å, intensity 94; 2θ = 37.10°, d = 2.424 Å, intensity 71; 2θ = 38.36°, d = 2.347 Å, intensity 44; 2θ = 38.72°, d = 2.325 Å, intensity 48; 2θ = 40.82°, d = 2.210 Å, intensity 77; 2θ = 46.06°, d = 1.970 Å, intensity 51

Structure:
abc: 8.2761 8.2761 6.2925
angles: 95.15 95.15 40.83
Atoms (fractional coordinates):
Zr (0.1008, 0.8992, 0.7500)
Zr (0.1032, 0.3373, 0.2815)
Zr (0.3153, 0.4952, 0.0780)
Zr (0.3373, 0.1032, 0.7815)
Zr (0.4952, 0.3153, 0.5780)
Zr (0.5048, 0.6847, 0.4220)
Zr (0.6627, 0.8968, 0.2185)
Zr (0.6847, 0.5048, 0.9220)
Zr (0.8968, 0.6627, 0.7185)
Zr (0.8992, 0.1008, 0.2500)
Ni (0.0516, 0.7292, 0.4223)
Ni (0.2708, 0.9484, 0.0777)
Ni (0.7292, 0.0516, 0.9223)
Ni (0.9484, 0.2708, 0.5777)

Record 6
This entry pairs a crystal structure of Tb2Ho6Er3Tm with its theoretical X-ray diffraction stick pattern. Radiation: Cu Kα, 1.54184 Å. Structure: a GGA-PBE-relaxed structure.

Peak list (10 most intense, 10 to 90 degrees two-theta, low angle first)
2θ = 31.18°, d = 2.868 Å, intensity 100; 2θ = 36.16°, d = 2.484 Å, intensity 51; 2θ = 52.07°, d = 1.756 Å, intensity 36; 2θ = 61.95°, d = 1.498 Å, intensity 43; 2θ = 65.03°, d = 1.434 Å, intensity 12; 2θ = 76.66°, d = 1.243 Å, intensity 2; 2θ = 76.78°, d = 1.241 Å, intensity 4; 2θ = 85.13°, d = 1.140 Å, intensity 18; 2θ = 87.85°, d = 1.111 Å, intensity 8; 2θ = 87.94°, d = 1.110 Å, intensity 8

Structure:
abc: 6.0833 6.0833 11.6464
angles: 94.98 94.98 119.94
Atoms (fractional coordinates):
Tb (0.1666, 0.8334, 0.0000)
Tb (0.8334, 0.1666, 0.0000)
Ho (0.0833, 0.4162, 0.7492)
Ho (0.2509, 0.2509, 0.2510)
Ho (0.4162, 0.0833, 0.7492)
Ho (0.5838, 0.9167, 0.2508)
Ho (0.7491, 0.7491, 0.7490)
Ho (0.9167, 0.5838, 0.2508)
Er (0.0000, 0.0000, 0.5000)
Er (0.3335, 0.6665, 0.5000)
Er (0.6665, 0.3335, 0.5000)
Tm (0.5000, 0.5000, 0.0000)